Calculated X-ray diffraction stick pattern of MnV2F6 for Cu Kα X-rays, from a cell relaxed with GGA+U.

Structural model:
Unit cell a=5.4548 b=5.4548 c=4.5974 alpha=90.00 beta=90.00 gamma=120.00
Space group P-31m (No. 162)
Inequivalent atoms, fractional coordinates:
Mn  0.0000  0.0000  0.0000
V  0.3333  0.6667  0.5000
F  0.0000  0.3337  0.7404

Peak list (6 most intense, 10° ≤ 2θ ≤ 90°, most intense first)
d 3.295, I 100.0; d 1.758, I 56.8; d 2.346, I 39.6; d 1.575, I 29.5; d 2.101, I 26.4; d 2.727, I 24.3